# 1
Calculated PXRD pattern
Compound: Tm6Zn5Ga
Radiation: Cu Ka
Structure: a cell relaxed with PBE

Structural model:
a b c (Å): 7.877 7.877 7.047
angles (deg): 90.00 90.00 143.22
Positions (direct):
Tm 0.000 0.000 0.250
Tm 0.000 0.000 0.750
Tm 0.333 0.667 0.249
Tm 0.333 0.667 0.751
Tm 0.667 0.333 0.249
Tm 0.667 0.333 0.751
Zn 0.167 0.833 0.000
Zn 0.170 0.830 0.500
Zn 0.500 0.500 0.000
Zn 0.830 0.170 0.500
Zn 0.833 0.167 0.000
Ga 0.500 0.500 0.500

Peak list (12 most intense, 10 to 90 degrees two-theta, in order of falling intensity)
| 2θ/deg | I_rel |
| --- | --- |
| 36.08 | 100.0 |
| 64.83 | 23.7 |
| 25.30 | 19.8 |
| 51.95 | 17.5 |
| 64.96 | 11.8 |
| 76.51 | 9.1 |
| 87.58 | 7.9 |
| 58.62 | 7.0 |
| 44.58 | 6.0 |
| 87.68 | 5.3 |
| 87.79 | 2.6 |
| 82.05 | 2.0 |

***

# 2
Calculated PXRD pattern
Compound: Tm3ZnGa2
Radiation: Cu Ka
Structure: a cell relaxed with PBE

Structural model:
a b c (Å): 4.982 4.982 12.167
angles (deg): 90.00 90.00 120.00
Positions (direct):
Tm 0.000 0.000 0.250
Tm 0.000 0.000 0.750
Tm 0.333 0.667 0.417
Tm 0.333 0.667 0.918
Tm 0.667 0.333 0.082
Tm 0.667 0.333 0.583
Zn 0.333 0.667 0.168
Zn 0.667 0.333 0.832
Ga 0.000 0.000 0.000
Ga 0.000 0.000 0.500
Ga 0.333 0.667 0.672
Ga 0.667 0.333 0.328

Peak list (12 most intense, 10 to 90 degrees two-theta, in order of falling intensity)
| 2θ/deg | I_rel |
| --- | --- |
| 36.09 | 100.0 |
| 64.87 | 26.8 |
| 25.31 | 19.3 |
| 51.97 | 17.6 |
| 65.02 | 8.8 |
| 58.66 | 8.1 |
| 87.63 | 8.0 |
| 87.76 | 8.0 |
| 76.49 | 5.5 |
| 76.66 | 5.5 |
| 44.57 | 4.4 |
| 82.13 | 3.3 |

***

# 3
Calculated PXRD pattern
Compound: Tm6Zn2Ga
Radiation: Cu Ka
Structure: a cell relaxed with PBE

Structural model:
a b c (Å): 8.378 8.378 8.378
angles (deg): 110.98 108.95 108.50
Positions (direct):
Tm 0.040 0.822 0.218
Tm 0.246 0.547 0.301
Tm 0.246 0.945 0.699
Tm 0.265 0.322 0.586
Tm 0.265 0.678 0.943
Tm 0.396 0.178 0.218
Tm 0.604 0.822 0.782
Tm 0.735 0.322 0.057
Tm 0.735 0.678 0.414
Tm 0.754 0.055 0.301
Tm 0.754 0.453 0.699
Tm 0.960 0.178 0.782
Zn 0.000 0.138 0.138
Zn 0.000 0.862 0.862
Zn 0.373 0.373 0.000
Zn 0.627 0.627 0.000
Ga 0.000 0.500 0.500
Ga 0.500 0.000 0.500

Peak list (12 most intense, 10 to 90 degrees two-theta, in order of falling intensity)
| 2θ/deg | I_rel |
| --- | --- |
| 32.06 | 100.0 |
| 35.02 | 82.6 |
| 34.41 | 52.0 |
| 36.93 | 39.3 |
| 29.67 | 23.0 |
| 58.79 | 18.1 |
| 25.81 | 18.0 |
| 28.93 | 16.7 |
| 41.51 | 15.0 |
| 59.44 | 14.9 |
| 36.72 | 14.6 |
| 86.79 | 13.6 |

***

# 4
Calculated PXRD pattern
Compound: TmZr4Ga4
Radiation: Cu Ka
Structure: a cell relaxed with PBE

Structural model:
a b c (Å): 8.736 8.736 5.498
angles (deg): 90.00 90.00 90.00
Positions (direct):
Tm 0.250 0.250 0.250
Tm 0.750 0.750 0.750
Zr 0.091 0.651 0.126
Zr 0.151 0.909 0.626
Zr 0.349 0.591 0.626
Zr 0.409 0.849 0.126
Zr 0.591 0.151 0.874
Zr 0.651 0.409 0.374
Zr 0.849 0.091 0.374
Zr 0.909 0.349 0.874
Ga 0.034 0.610 0.635
Ga 0.110 0.966 0.135
Ga 0.390 0.534 0.135
Ga 0.466 0.890 0.635
Ga 0.534 0.110 0.365
Ga 0.610 0.466 0.865
Ga 0.890 0.034 0.865
Ga 0.966 0.390 0.365

Peak list (12 most intense, 10 to 90 degrees two-theta, in order of falling intensity)
| 2θ/deg | I_rel |
| --- | --- |
| 32.41 | 100.0 |
| 34.19 | 44.9 |
| 19.07 | 43.0 |
| 28.02 | 34.8 |
| 45.37 | 29.3 |
| 40.69 | 29.1 |
| 46.49 | 25.4 |
| 45.90 | 20.9 |
| 50.19 | 18.6 |
| 40.11 | 14.5 |
| 36.40 | 11.5 |
| 74.94 | 10.9 |

***

# 5
Calculated PXRD pattern
Compound: TmZrGa4
Radiation: Cu Ka
Structure: a cell relaxed with PBE

Structural model:
a b c (Å): 5.659 5.659 5.659
angles (deg): 137.52 106.54 88.73
Positions (direct):
Tm 0.000 0.000 0.000
Zr 0.633 0.133 0.500
Ga 0.019 0.721 0.298
Ga 0.210 0.408 0.801
Ga 0.423 0.721 0.702
Ga 0.607 0.408 0.199

Peak list (12 most intense, 10 to 90 degrees two-theta, in order of falling intensity)
| 2θ/deg | I_rel |
| --- | --- |
| 36.16 | 100.0 |
| 33.83 | 68.5 |
| 40.01 | 39.0 |
| 44.17 | 31.5 |
| 34.55 | 30.4 |
| 41.55 | 23.7 |
| 66.09 | 22.0 |
| 35.84 | 19.9 |
| 75.99 | 18.5 |
| 77.99 | 16.1 |
| 57.26 | 14.1 |
| 62.25 | 14.0 |

***

# 6
Calculated PXRD pattern
Compound: TmZr2Ga9
Radiation: Cu Ka
Structure: a cell relaxed with PBE

Structural model:
a b c (Å): 4.179 4.179 12.411
angles (deg): 90.00 90.00 90.00
Positions (direct):
Tm 0.000 0.000 0.000
Zr 0.000 0.000 0.338
Zr 0.000 0.000 0.662
Ga 0.000 0.500 0.172
Ga 0.000 0.500 0.500
Ga 0.000 0.500 0.828
Ga 0.500 0.000 0.172
Ga 0.500 0.000 0.500
Ga 0.500 0.000 0.828
Ga 0.500 0.500 0.000
Ga 0.500 0.500 0.334
Ga 0.500 0.500 0.666

Peak list (12 most intense, 10 to 90 degrees two-theta, in order of falling intensity)
| 2θ/deg | I_rel |
| --- | --- |
| 37.40 | 100.0 |
| 43.31 | 33.0 |
| 75.54 | 24.3 |
| 63.26 | 20.4 |
| 43.76 | 15.7 |
| 76.19 | 11.4 |
| 62.91 | 10.6 |
| 79.77 | 10.3 |
| 21.26 | 3.8 |
| 30.41 | 3.0 |
| 21.48 | 1.9 |
| 25.70 | 1.7 |

***

# 7
Calculated PXRD pattern
Compound: UGa7
Radiation: Cu Ka
Structure: a cell relaxed with PBE

Structural model:
a b c (Å): 7.804 7.801 4.606
angles (deg): 72.88 72.79 34.33
Positions (direct):
U 0.000 0.000 0.000
Ga 0.139 0.139 0.361
Ga 0.238 0.238 0.762
Ga 0.361 0.361 0.139
Ga 0.500 0.500 0.500
Ga 0.639 0.639 0.861
Ga 0.762 0.762 0.238
Ga 0.861 0.861 0.639

Peak list (12 most intense, 10 to 90 degrees two-theta, in order of falling intensity)
| 2θ/deg | I_rel |
| --- | --- |
| 37.50 | 100.0 |
| 39.12 | 47.6 |
| 20.27 | 23.8 |
| 69.76 | 15.9 |
| 69.86 | 15.8 |
| 66.57 | 14.9 |
| 30.20 | 14.6 |
| 37.23 | 8.6 |
| 51.56 | 8.1 |
| 56.43 | 8.1 |
| 56.59 | 8.0 |
| 44.44 | 6.7 |

***

# 8
Calculated PXRD pattern
Compound: U6Ga
Radiation: Cu Ka
Structure: a cell relaxed with PBE

Structural model:
a b c (Å): 6.190 6.190 6.190
angles (deg): 109.47 109.47 109.47
Positions (direct):
U 0.250 0.500 0.750
U 0.250 0.750 0.500
U 0.500 0.250 0.750
U 0.500 0.750 0.250
U 0.750 0.250 0.500
U 0.750 0.500 0.250
Ga 0.000 0.000 0.000

Peak list (12 most intense, 10 to 90 degrees two-theta, in order of falling intensity)
| 2θ/deg | I_rel |
| --- | --- |
| 30.64 | 100.0 |
| 17.55 | 96.5 |
| 43.88 | 76.2 |
| 47.61 | 60.5 |
| 51.12 | 45.8 |
| 24.92 | 41.7 |
| 75.20 | 30.9 |
| 39.89 | 26.0 |
| 83.35 | 19.4 |
| 66.73 | 18.5 |
| 72.43 | 18.2 |
| 35.53 | 17.7 |

***

# 9
Calculated PXRD pattern
Compound: UGa6
Radiation: Cu Ka
Structure: a cell relaxed with PBE

Structural model:
a b c (Å): 4.546 4.546 6.645
angles (deg): 90.00 90.00 90.00
Positions (direct):
U 0.000 0.000 0.000
Ga 0.000 0.000 0.500
Ga 0.000 0.500 0.288
Ga 0.000 0.500 0.712
Ga 0.500 0.000 0.288
Ga 0.500 0.000 0.712
Ga 0.500 0.500 0.000

Peak list (12 most intense, 10 to 90 degrees two-theta, in order of falling intensity)
| 2θ/deg | I_rel |
| --- | --- |
| 38.99 | 100.0 |
| 39.65 | 52.8 |
| 30.90 | 40.7 |
| 19.53 | 35.7 |
| 71.51 | 33.2 |
| 33.41 | 19.4 |
| 13.32 | 19.4 |
| 57.33 | 17.8 |
| 58.15 | 13.8 |
| 70.17 | 12.9 |
| 52.79 | 11.0 |
| 40.74 | 9.8 |

***

# 10
Calculated PXRD pattern
Compound: UGa4
Radiation: Cu Ka
Structure: a cell relaxed with PBE

Structural model:
a b c (Å): 7.983 7.983 7.983
angles (deg): 148.75 133.99 56.67
Positions (direct):
U 0.360 0.110 0.250
U 0.640 0.890 0.750
Ga 0.000 0.500 0.500
Ga 0.143 0.893 0.250
Ga 0.174 0.698 0.476
Ga 0.278 0.302 0.976
Ga 0.500 0.500 0.000
Ga 0.722 0.698 0.024
Ga 0.826 0.302 0.524
Ga 0.857 0.107 0.750

Peak list (12 most intense, 10 to 90 degrees two-theta, in order of falling intensity)
| 2θ/deg | I_rel |
| --- | --- |
| 36.14 | 100.0 |
| 38.26 | 89.4 |
| 38.59 | 50.4 |
| 28.22 | 47.6 |
| 42.02 | 36.1 |
| 58.37 | 30.3 |
| 72.74 | 24.4 |
| 23.75 | 24.0 |
| 40.59 | 19.9 |
| 70.97 | 18.1 |
| 15.54 | 17.7 |
| 21.61 | 17.6 |

***

# 11
Calculated PXRD pattern
Compound: U2VGa8
Radiation: Cu Ka
Structure: a cell relaxed with PBE

Structural model:
a b c (Å): 4.344 4.344 11.070
angles (deg): 90.00 90.00 90.00
Positions (direct):
U 0.000 0.000 0.191
U 0.000 0.000 0.809
V 0.000 0.000 0.500
Ga 0.000 0.500 0.000
Ga 0.000 0.500 0.375
Ga 0.000 0.500 0.625
Ga 0.500 0.000 0.000
Ga 0.500 0.000 0.375
Ga 0.500 0.000 0.625
Ga 0.500 0.500 0.187
Ga 0.500 0.500 0.813

Peak list (12 most intense, 10 to 90 degrees two-theta, in order of falling intensity)
| 2θ/deg | I_rel |
| --- | --- |
| 38.12 | 100.0 |
| 41.58 | 52.1 |
| 33.36 | 46.1 |
| 20.44 | 33.5 |
| 73.57 | 28.9 |
| 75.32 | 26.8 |
| 59.63 | 23.4 |
| 31.82 | 18.5 |
| 40.75 | 17.9 |
| 60.26 | 17.3 |
| 16.01 | 12.9 |
| 30.19 | 10.9 |

***

# 12
Calculated PXRD pattern
Compound: U3Zn2Ga4
Radiation: Cu Ka
Structure: a cell relaxed with PBE

Structural model:
a b c (Å): 8.201 8.201 5.791
angles (deg): 90.00 90.00 120.01
Positions (direct):
U 0.000 0.000 0.250
U 0.000 0.000 0.750
U 0.335 0.665 0.250
U 0.335 0.665 0.750
U 0.665 0.335 0.250
U 0.665 0.335 0.750
Zn 0.001 0.664 0.000
Zn 0.336 0.999 0.500
Zn 0.664 0.001 0.500
Zn 0.999 0.336 0.000
Ga 0.004 0.669 0.500
Ga 0.329 0.332 0.000
Ga 0.331 0.996 0.000
Ga 0.332 0.329 0.500
Ga 0.668 0.671 0.500
Ga 0.669 0.004 0.000
Ga 0.671 0.668 0.000
Ga 0.996 0.331 0.500

Peak list (12 most intense, 10 to 90 degrees two-theta, in order of falling intensity)
| 2θ/deg | I_rel |
| --- | --- |
| 38.03 | 100.0 |
| 68.69 | 30.2 |
| 21.67 | 29.8 |
| 54.87 | 19.8 |
| 77.24 | 12.1 |
| 81.29 | 6.3 |
| 44.17 | 5.0 |
| 59.66 | 4.4 |
| 64.35 | 3.1 |
| 49.75 | 2.1 |
| 85.35 | 1.8 |
| 30.88 | 1.2 |

***

# 13
Calculated PXRD pattern
Compound: UZnGa6
Radiation: Cu Ka
Structure: a cell relaxed with PBE

Structural model:
a b c (Å): 6.084 6.084 4.379
angles (deg): 90.00 90.00 111.43
Positions (direct):
U 0.000 0.000 0.000
Zn 0.500 0.500 0.000
Ga 0.000 0.500 0.000
Ga 0.207 0.793 0.500
Ga 0.300 0.300 0.500
Ga 0.500 0.000 0.000
Ga 0.700 0.700 0.500
Ga 0.793 0.207 0.500

Peak list (12 most intense, 10 to 90 degrees two-theta, in order of falling intensity)
| 2θ/deg | I_rel |
| --- | --- |
| 37.83 | 100.0 |
| 35.72 | 26.9 |
| 41.23 | 22.5 |
| 36.21 | 22.3 |
| 15.65 | 19.2 |
| 72.91 | 16.6 |
| 55.67 | 14.8 |
| 25.72 | 14.5 |
| 65.57 | 12.8 |
| 17.64 | 9.9 |
| 40.48 | 8.6 |
| 53.47 | 7.8 |